Record 1
For Nd2Ru, a PBE-relaxed structure gives the theoretical X-ray diffraction stick pattern in this record (Cu Ka).
Peak positions follow from Bragg's law for the DFT cell and can differ from measured ones.

Most intense lines, 2θ from 15° to 90°, in order of rising 2θ:
2θ 28.6, intensity 57; 2θ 31.4, intensity 69; 2θ 32.9, intensity 30; 2θ 35.4, intensity 22; 2θ 36.4, intensity 100; 2θ 39.9, intensity 54; 2θ 53.4, intensity 23; 2θ 68.5, intensity 26

Structural model:
abc: 11.413 10.282 6.370
angles: 82.96 63.40 33.64
Positions (direct):
Nd1 0.034 0.034 0.216
Nd2 0.216 0.216 0.034
Nd3 0.220 0.530 0.220
Nd4 0.470 0.780 0.470
Nd5 0.530 0.220 0.530
Nd6 0.780 0.470 0.780
Nd7 0.784 0.784 0.966
Nd8 0.966 0.966 0.784
Ru1 0.252 0.252 0.498
Ru2 0.498 0.498 0.252
Ru3 0.502 0.502 0.748
Ru4 0.748 0.748 0.502

---

Record 2
For Mg2AlCd3, a PBE-relaxed structure gives the theoretical X-ray diffraction stick pattern in this record (Cu Ka).
Peak positions follow from Bragg's law for the DFT cell and can differ from measured ones.

Most intense lines, 2θ from 15° to 90°, in order of rising 2θ:
2θ 24.1, intensity 50; 2θ 24.6, intensity 49; 2θ 28.0, intensity 34; 2θ 34.7, intensity 100; 2θ 37.3, intensity 81; 2θ 37.4, intensity 41; 2θ 37.8, intensity 39; 2θ 63.6, intensity 19

Structural model:
abc: 4.801 7.388 7.354
angles: 90.00 101.53 90.00
Positions (direct):
Mg1 0.000 0.000 0.000
Mg2 0.000 0.500 0.000
Mg3 0.343 0.000 0.667
Mg4 0.657 0.000 0.333
Al1 0.365 0.500 0.675
Al2 0.635 0.500 0.325
Cd1 0.155 0.259 0.338
Cd2 0.155 0.741 0.338
Cd3 0.500 0.250 0.000
Cd4 0.500 0.750 0.000
Cd5 0.845 0.259 0.662
Cd6 0.845 0.741 0.662

---

Record 3
For Sm6YEr8, a PBE-relaxed structure gives the theoretical X-ray diffraction stick pattern in this record (Cu Ka).
Peak positions follow from Bragg's law for the DFT cell and can differ from measured ones.

Most intense lines, 2θ from 15° to 90°, in order of rising 2θ:
2θ 30.5, intensity 23; 2θ 31.4, intensity 100; 2θ 32.3, intensity 29; 2θ 32.6, intensity 10; 2θ 36.8, intensity 15; 2θ 53.0, intensity 13; 2θ 54.0, intensity 11; 2θ 60.3, intensity 12

Structural model:
abc: 8.656 8.656 8.656
angles: 62.97 62.97 62.97
Positions (direct):
Sm1 0.038 0.606 0.726
Sm2 0.274 0.962 0.394
Sm3 0.394 0.274 0.962
Sm4 0.606 0.726 0.038
Sm5 0.726 0.038 0.606
Sm6 0.962 0.394 0.274
Y1 0.500 0.500 0.500
Er1 0.077 0.077 0.077
Er2 0.219 0.611 0.246
Er3 0.246 0.219 0.611
Er4 0.389 0.754 0.781
Er5 0.611 0.246 0.219
Er6 0.754 0.781 0.389
Er7 0.781 0.389 0.754
Er8 0.923 0.923 0.923

---

Record 4
For AcLaO4, a PBE-relaxed structure gives the theoretical X-ray diffraction stick pattern in this record (Cu Ka).
Peak positions follow from Bragg's law for the DFT cell and can differ from measured ones.

Most intense lines, 2θ from 15° to 90°, in order of rising 2θ:
2θ 25.9, intensity 35; 2θ 26.3, intensity 45; 2θ 27.3, intensity 100; 2θ 28.9, intensity 43; 2θ 30.7, intensity 19; 2θ 42.9, intensity 20; 2θ 45.0, intensity 22; 2θ 46.0, intensity 29

Structural model:
abc: 4.065 4.065 6.830
angles: 96.57 96.57 62.46
Positions (direct):
Ac1 0.000 0.000 0.000
La1 0.401 0.401 0.462
O1 0.048 0.048 0.378
O2 0.356 0.356 0.104
O3 0.627 0.627 0.799
O4 0.773 0.773 0.654